This entry pairs a crystal structure of ErCd11Cu with its calculated X-ray diffraction stick pattern. Radiation: CuKα. Structure: a GGA-PBE-relaxed structure.
Intensities are scaled so that the largest is 100.

Structure:
a = 5.817 Å, b = 14.030 Å, c = 7.533 Å
α = 90.00°, β = 112.31°, γ = 90.00°
Space group C2/m (No. 12)
Symmetry-distinct sites (fractional):
1 Er 0.000 0.000 0.000 x2
2 Cd 0.000 0.000 0.500 x2
3 Cd 0.093 0.397 0.217 x8
4 Cd 0.188 0.170 0.355 x8
5 Cd 0.250 0.250 0.000 x4
6 Cu 0.000 0.500 0.500 x2

Main lines, in order of rising 2θ (2θ = 10–90°):
hkl	2θ/deg	d [Å]	I (rel.)
1 3 1	31.1	2.874	27.9
1 3 -2	31.3	2.862	36.3
2 2 0	35.7	2.512	49.5
2 2 -2	35.9	2.501	38.0
1 5 0	36.1	2.487	61.0
1 1 2	36.2	2.481	41.8
0 4 2	36.4	2.471	100.0
2 4 -1	40.3	2.239	50.4
2 0 -3	40.6	2.225	25.1
0 6 1	40.7	2.217	29.4